# 1
For Sr6Sb3O2, DFT lattice parameters and positions (GGA-PBE) gives the computed powder diffractogram in this record (Cu Kα (weighted mean of Kα1 and Kα2)).
Kinematic intensities with the Lorentz-polarization factor, no thermal factor.

Cell and atoms:
Lattice parameters (Å, degrees): 13.822 13.822 13.822 159.03 159.03 29.82
Element x y z (fractional)
Sr1 0.085 0.585 0.500
Sr2 0.194 0.194 0.000
Sr3 0.415 0.915 0.500
Sr4 0.585 0.085 0.500
Sr5 0.806 0.806 0.000
Sr6 0.915 0.415 0.500
Sb1 0.323 0.323 0.000
Sb2 0.500 0.500 0.000
Sb3 0.677 0.677 0.000
O1 0.103 0.103 0.000
O2 0.897 0.897 0.000

Largest 12 diffraction maxima, in order of rising 2θ, 15 to 90 degrees two-theta:
2θ 17.94, d 4.943, I = 14; 2θ 25.92, d 3.437, I = 31; 2θ 26.70, d 3.339, I = 10; 2θ 28.43, d 3.139, I = 14; 2θ 29.38, d 3.040, I = 15; 2θ 32.21, d 2.779, I = 100; 2θ 33.55, d 2.671, I = 12; 2θ 35.70, d 2.515, I = 56; 2θ 49.80, d 1.831, I = 15; 2θ 51.38, d 1.778, I = 19; 2θ 55.09, d 1.667, I = 12; 2θ 61.94, d 1.498, I = 35

# 2
For SrSbO4, DFT lattice parameters and positions (GGA-PBE) gives the computed powder diffractogram in this record (Cu Kα (weighted mean of Kα1 and Kα2)).
Kinematic intensities with the Lorentz-polarization factor, no thermal factor.

Cell and atoms:
Lattice parameters (Å, degrees): 7.028 7.028 7.028 133.06 133.06 68.56
Element x y z (fractional)
Sr1 0.375 0.125 0.250
Sr2 0.625 0.875 0.750
Sb1 0.125 0.375 0.750
Sb2 0.875 0.625 0.250
O1 0.036 0.237 0.344
O2 0.192 0.536 0.300
O3 0.263 0.107 0.800
O4 0.393 0.692 0.156
O5 0.607 0.308 0.844
O6 0.737 0.893 0.200
O7 0.808 0.464 0.700
O8 0.964 0.763 0.656

Largest 12 diffraction maxima, in order of rising 2θ, 15 to 90 degrees two-theta:
2θ 17.59, d 5.042, I = 7; 2θ 27.27, d 3.271, I = 100; 2θ 30.80, d 2.903, I = 11; 2θ 31.98, d 2.799, I = 18; 2θ 44.99, d 2.015, I = 33; 2θ 45.85, d 1.979, I = 16; 2θ 52.64, d 1.739, I = 15; 2θ 54.17, d 1.693, I = 27; 2θ 56.25, d 1.635, I = 10; 2θ 72.34, d 1.306, I = 13; 2θ 73.49, d 1.289, I = 6; 2θ 84.24, d 1.149, I = 8